[1]
Theoretical powder XRD pattern of Ce2Ge4Ir3 for CuKα, from a cell relaxed with GGA-PBE.
Kinematic intensities with the Lorentz-polarization factor, no thermal factor.

Principal peaks in the range 2θ = 10–90°, by intensity:
two_theta, Rel. int., index
14.38, 100, 0 0 2
38.69, 98, 1 3 3
39.86, 73, 2 2 2
36.97, 56, 2 2 0
39.53, 38, 0 4 2
41.07, 31, 1 1 5
43.70, 31, 2 0 4
44.11, 28, 0 0 6
36.62, 28, 0 4 0
66.16, 28, 2 6 0

Structure:
a b c (Å): 5.599 9.816 12.317
angles (deg): 90.00 90.00 90.00
Space group Fmmm (No. 69)
Inequivalent atoms, fractional coordinates:
Ce1 0.000 0.000 0.128 x8
Ge1 0.000 0.165 0.339 x16
Ir1 0.000 0.000 0.500 x4
Ir2 0.250 0.250 0.000 x8



[2]
Theoretical powder XRD pattern of CaGa2Ag2 for CuKα, from a cell relaxed with GGA-PBE.
Kinematic intensities with the Lorentz-polarization factor, no thermal factor.

Principal peaks in the range 2θ = 10–90°, by intensity:
two_theta, Rel. int., index
42.55, 100, 1 1 4
33.47, 96, 1 1 2
22.30, 88, 1 0 1
42.83, 82, 2 0 0
30.66, 64, 1 0 3
43.10, 58, 1 0 5
62.38, 36, 2 1 5
78.26, 32, 3 1 4
62.18, 26, 2 2 0
53.59, 24, 2 1 3

Structure:
a b c (Å): 4.223 4.223 12.095
angles (deg): 90.00 90.00 90.00
Space group I4/mmm (No. 139)
Inequivalent atoms, fractional coordinates:
Ca1 0.000 0.000 0.000 x2
Ga1 0.000 0.500 0.250 x4
Ag1 0.000 0.000 0.387 x4



[3]
Theoretical powder XRD pattern of H2Pb4CCl6O4 for CuKα, from a cell relaxed with GGA-PBE.
Kinematic intensities with the Lorentz-polarization factor, no thermal factor.

Principal peaks in the range 2θ = 10–90°, by intensity:
two_theta, Rel. int., index
21.85, 100, 0 2 2
20.94, 49, 0 0 4
42.03, 28, 2 0 0
29.86, 28, 1 2 -2
38.85, 24, 0 4 0
35.78, 23, 1 3 0
36.11, 23, 1 2 4
37.24, 21, 0 2 6
44.56, 19, 0 4 4
22.78, 19, 1 1 0

Structure:
a b c (Å): 4.308 9.271 16.993
angles (deg): 90.00 92.89 90.00
Space group P2_1/m (No. 11)
Inequivalent atoms, fractional coordinates:
H1 0.244 0.167 0.100 x4
Pb1 0.155 0.009 0.735 x4
Pb2 0.217 0.750 0.507 x2
Pb3 0.245 0.750 0.041 x2
C1 0.432 0.250 0.243 x2
Cl1 0.221 0.035 0.913 x4
Cl2 0.221 0.054 0.416 x4
Cl3 0.269 0.250 0.609 x2
Cl4 0.298 0.750 0.216 x2
O1 0.247 0.250 0.064 x2
O2 0.301 0.750 0.716 x2
O3 0.312 0.127 0.222 x4